# Li3V2P3O12
Computed powder diffraction line list, Cu Ka. Input: a crystal structure in Alexandria, relaxed with PBE+U.
Peak positions follow from Bragg's law for the DFT cell and can differ from measured ones.

The 8 most intense peaks (2θ from 15° to 90°), in order of falling intensity:
d_spacing  two_theta  I/Imax
3.699  24.1  1000
2.826  31.7  633
4.497  19.7  607
3.084  29.0  426
2.753  32.5  176
1.760  52.0  174
2.446  36.7  172
2.328  38.7  166

Structural model:
```
data_Li3V2P3O12
_chemical_formula_sum 'Li6 V4 P6 O24'
_space_group_name_H-M_alt 'P 1'
_space_group_IT_number 1
_cell_length_a 9.0285
_cell_length_b 9.0285
_cell_length_c 9.0285
_cell_angle_alpha 55.97
_cell_angle_beta 55.97
_cell_angle_gamma 55.97
loop_
_space_group_symop_operation_xyz
'x,y,z'
loop_
_atom_site_label
_atom_site_type_symbol
_atom_site_fract_x
_atom_site_fract_y
_atom_site_fract_z
Li1 Li 0.1671 0.7640 0.4232
Li2 Li 0.2360 0.5768 0.8329
Li3 Li 0.4232 0.1671 0.7640
Li4 Li 0.5768 0.8329 0.2360
Li5 Li 0.7640 0.4232 0.1671
Li6 Li 0.8329 0.2360 0.5768
V1 V 0.1506 0.1506 0.1506
V2 V 0.3546 0.3546 0.3546
V3 V 0.6454 0.6454 0.6454
V4 V 0.8494 0.8494 0.8494
P1 P 0.0400 0.4592 0.7506
P2 P 0.2494 0.9600 0.5408
P3 P 0.4592 0.7506 0.0400
P4 P 0.5408 0.2494 0.9600
P5 P 0.7506 0.0400 0.4592
P6 P 0.9600 0.5408 0.2494
O1 O 0.0055 0.3341 0.9662
O2 O 0.0338 0.9945 0.6659
O3 O 0.0387 0.6551 0.7106
O4 O 0.1118 0.5046 0.3035
O5 O 0.2451 0.3647 0.6255
O6 O 0.2894 0.9613 0.3449
O7 O 0.3035 0.1118 0.5046
O8 O 0.3341 0.9662 0.0055
O9 O 0.3449 0.2894 0.9613
O10 O 0.3647 0.6255 0.2451
O11 O 0.3745 0.7549 0.6353
O12 O 0.4954 0.6965 0.8882
O13 O 0.5046 0.3035 0.1118
O14 O 0.6255 0.2451 0.3647
O15 O 0.6353 0.3745 0.7549
O16 O 0.6551 0.7106 0.0387
O17 O 0.6659 0.0338 0.9945
O18 O 0.6965 0.8882 0.4954
O19 O 0.7106 0.0387 0.6551
O20 O 0.7549 0.6353 0.3745
O21 O 0.8882 0.4954 0.6965
O22 O 0.9613 0.3449 0.2894
O23 O 0.9662 0.0055 0.3341
O24 O 0.9945 0.6659 0.0338
```